Structure and computed powder diffractogram of Sr5Fe3F19 (a GGA+U-relaxed structure; λ = 1.5418 Å (Cu Kα)).
Peak positions follow from Bragg's law for the DFT cell and can differ from measured ones.

Top 10 peaks for 15 to 90 degrees two-theta, low angle first:
- 2θ = 24.03°, intensity 47, (2 1 1)
- 2θ = 24.25°, intensity 54, (0 2 -2)
- 2θ = 26.42°, intensity 26, (2 0 0)
- 2θ = 27.07°, intensity 76, (0 1 -3)
- 2θ = 27.25°, intensity 100, (0 3 1)
- 2θ = 27.66°, intensity 47, (1 -2 2)
- 2θ = 28.03°, intensity 22, (1 3 -1)
- 2θ = 29.13°, intensity 38, (2 -1 1)
- 2θ = 43.57°, intensity 28, (3 -1 0)
- 2θ = 49.22°, intensity 38, (4 2 2)

Cell and atoms:
```
data_Sr5Fe3F19
_space_group_name_H-M_alt 'P 1'
_space_group_IT_number 1
_cell_length_a 7.4149
_cell_length_b 10.8578
_cell_length_c 10.9566
_cell_angle_alpha 84.64
_cell_angle_beta 71.98
_cell_angle_gamma 72.31
loop_
_space_group_symop_operation_xyz
'x,y,z'
loop_
_atom_site_label
_atom_site_type_symbol
_atom_site_fract_x
_atom_site_fract_y
_atom_site_fract_z
Sr1 Sr 0.0000 0.0000 0.0000
Sr2 Sr 0.0005 0.5327 0.5083
Sr3 Sr 0.1910 0.1361 0.4879
Sr4 Sr 0.3482 0.4909 0.8570
Sr5 Sr 0.5286 0.6303 0.3540
Sr6 Sr 0.5340 0.3063 0.1550
Sr7 Sr 0.5493 0.0880 0.8399
Sr8 Sr 0.7178 0.6477 0.9536
Sr9 Sr 0.8147 0.9879 0.3993
Sr10 Sr 0.9951 0.3247 0.1977
Fe1 Fe 0.0543 0.8177 0.6795
Fe2 Fe 0.1095 0.6523 0.1629
Fe3 Fe 0.4194 0.9760 0.1908
Fe4 Fe 0.5541 0.8089 0.6714
Fe5 Fe 0.5844 0.3312 0.5162
Fe6 Fe 0.9565 0.2948 0.8345
F1 F 0.0311 0.3238 0.6513
F2 F 0.0501 0.4277 0.8792
F3 F 0.0925 0.6500 0.7606
F4 F 0.1334 0.3492 0.3751
F5 F 0.1772 0.9714 0.3270
F6 F 0.1992 0.1511 0.8275
F7 F 0.2228 0.4642 0.1235
F8 F 0.2235 0.6236 0.3055
F9 F 0.2323 0.7479 0.5191
F10 F 0.2637 0.8681 0.7226
F11 F 0.2975 0.0035 0.0527
F12 F 0.3076 0.1651 0.2230
F13 F 0.3380 0.4693 0.5299
F14 F 0.3488 0.6603 0.0241
F15 F 0.4203 0.2767 0.9720
F16 F 0.4898 0.1983 0.4713
F17 F 0.5170 0.2980 0.6970
F18 F 0.5241 0.9775 0.3347
F19 F 0.5354 0.7912 0.1663
F20 F 0.5489 0.8516 0.8410
F21 F 0.5583 0.9843 0.6201
F22 F 0.5634 0.6375 0.7385
F23 F 0.6244 0.7569 0.4960
F24 F 0.6425 0.0246 0.0653
F25 F 0.6429 0.3761 0.3308
F26 F 0.6833 0.5039 0.1325
F27 F 0.6979 0.4296 0.8735
F28 F 0.7006 0.4685 0.5230
F29 F 0.8406 0.1250 0.2158
F30 F 0.8439 0.1570 0.8272
F31 F 0.8501 0.2024 0.4646
F32 F 0.8545 0.7608 0.6244
F33 F 0.8873 0.8924 0.8458
F34 F 0.8885 0.2549 0.0207
F35 F 0.8925 0.5952 0.2905
F36 F 0.9737 0.9833 0.5975
F37 F 0.9893 0.6628 0.0284
F38 F 0.9945 0.8373 0.1929
```

=====

Structure and computed powder diffractogram of MgMn4Zn2O8 (a GGA+U-relaxed structure; λ = 1.5418 Å (Cu Kα)).
Peak positions follow from Bragg's law for the DFT cell and can differ from measured ones.

Top 10 peaks for 15 to 90 degrees two-theta, low angle first:
- 2θ = 17.83°, intensity 57, (0 0 1)
- 2θ = 32.52°, intensity 67, (2 2 -1)
- 2θ = 33.79°, intensity 38, (3 1 0)
- 2θ = 34.10°, intensity 100, (2 2 0)
- 2θ = 34.32°, intensity 42, (4 0 -1)
- 2θ = 40.35°, intensity 29, (2 2 -2)
- 2θ = 41.59°, intensity 28, (4 0 0)
- 2θ = 45.43°, intensity 29, (5 1 -2)
- 2θ = 45.65°, intensity 32, (4 2 -2)
- 2θ = 52.38°, intensity 33, (1 3 -2)

Cell and atoms:
```
data_MgMn4Zn2O8
_space_group_name_H-M_alt 'C 1 m 1'
_space_group_IT_number 8
_cell_length_a 10.5882
_cell_length_b 6.6135
_cell_length_c 6.0660
_cell_angle_alpha 90.00
_cell_angle_beta 124.88
_cell_angle_gamma 90.00
loop_
_space_group_symop_operation_xyz
'x,y,z'
'x,-y,z'
'x+1/2,y+1/2,z'
'x+1/2,-y+1/2,z'
loop_
_atom_site_label
_atom_site_type_symbol
_atom_site_fract_x
_atom_site_fract_y
_atom_site_fract_z
Mg1 Mg 0.0000 0.0000 0.0000
Mn1 Mn 0.1297 0.5000 0.1293
Mn2 Mn 0.1866 0.5000 0.6859
Mn3 Mn 0.2481 0.0000 0.5075
Mn4 Mn 0.2487 0.0000 0.9890
Zn1 Zn 0.4410 0.2798 0.4414
O1 O 0.1927 0.1858 0.1927
O2 O 0.1973 0.1905 0.6974
O3 O 0.3810 0.5000 0.6136
O4 O 0.3819 0.5000 0.1505
O5 O 0.4854 0.0000 0.7060
O6 O 0.4856 0.0000 0.2646
```

=====

Structure and computed powder diffractogram of Y2MnGe4O12 (a GGA+U-relaxed structure; λ = 1.5418 Å (Cu Kα)).
Peak positions follow from Bragg's law for the DFT cell and can differ from measured ones.

Top 10 peaks for 15 to 90 degrees two-theta, low angle first:
- 2θ = 21.67°, intensity 43, (2 0 1)
- 2θ = 30.73°, intensity 100, (0 4 1)
- 2θ = 30.95°, intensity 94, (4 0 1)
- 2θ = 35.76°, intensity 58, (4 4 0)
- 2θ = 51.22°, intensity 13, (0 8 0)
- 2θ = 51.44°, intensity 53, (4 4 2)
- 2θ = 51.81°, intensity 11, (8 0 0)
- 2θ = 61.06°, intensity 37, (0 4 3)
- 2θ = 61.19°, intensity 13, (4 0 3)
- 2θ = 61.45°, intensity 21, (8 4 1)

Cell and atoms:
```
data_Y2MnGe4O12
_space_group_name_H-M_alt 'C m m e'
_space_group_IT_number 67
_space_group_name_Hall '-C 2a 2'
_cell_length_a 14.1176
_cell_length_b 14.2674
_cell_length_c 5.0309
_cell_angle_alpha 90.00
_cell_angle_beta 90.00
_cell_angle_gamma 90.00
loop_
_atom_site_label
_atom_site_type_symbol
_atom_site_fract_x
_atom_site_fract_y
_atom_site_fract_z
Y1 Y 0.2500 0.0000 0.0000
Y2 Y 0.2500 0.2500 0.0000
Mn1 Mn 0.0000 0.0000 0.0000
Ge1 Ge 0.1122 0.1342 0.4956
O1 O 0.0000 0.1307 0.6694
O2 O 0.1156 0.0526 0.2395
O3 O 0.1219 0.2500 0.3320
O4 O 0.1962 0.1332 0.7520
```

=====

Structure and computed powder diffractogram of LiVF3 (a GGA+U-relaxed structure; λ = 1.5418 Å (Cu Kα)).
Peak positions follow from Bragg's law for the DFT cell and can differ from measured ones.

Top 10 peaks for 15 to 90 degrees two-theta, low angle first:
- 2θ = 19.43°, intensity 19, (0 1 2)
- 2θ = 22.05°, intensity 100, (1 1 1)
- 2θ = 28.22°, intensity 68, (1 2 1)
- 2θ = 32.49°, intensity 32, (1 1 3)
- 2θ = 38.22°, intensity 28, (1 0 4)
- 2θ = 39.32°, intensity 47, (1 3 2)
- 2θ = 45.72°, intensity 12, (1 4 1)
- 2θ = 49.96°, intensity 27, (2 0 4)
- 2θ = 50.86°, intensity 76, (2 3 2)
- 2θ = 60.84°, intensity 23, (0 3 6)

Cell and atoms:
```
data_LiVF3
_space_group_name_H-M_alt 'P c c n'
_space_group_IT_number 56
_cell_length_a 5.0054
_cell_length_b 8.8287
_cell_length_c 10.6757
_cell_angle_alpha 90.00
_cell_angle_beta 90.00
_cell_angle_gamma 90.00
loop_
_space_group_symop_operation_xyz
'x,y,z'
'-x,-y,-z'
'-x+1/2,-y+1/2,z'
'x+1/2,y+1/2,-z'
'x+1/2,-y,-z+1/2'
'-x+1/2,y,z+1/2'
'-x,y+1/2,-z+1/2'
'x,-y+1/2,z+1/2'
loop_
_atom_site_label
_atom_site_type_symbol
_atom_site_fract_x
_atom_site_fract_y
_atom_site_fract_z
Li1 Li 0.0037 0.2143 0.1010
V1 V 0.0069 0.0863 0.3636
F1 F 0.1976 0.0952 0.5425
F2 F 0.2236 0.5853 0.3030
F3 F 0.2500 0.2500 0.2720
F4 F 0.2500 0.7500 0.0451
```

=====

Structure and computed powder diffractogram of FeCuBi2As2O12 (a GGA+U-relaxed structure; λ = 1.5418 Å (Cu Kα)).
Peak positions follow from Bragg's law for the DFT cell and can differ from measured ones.

Top 10 peaks for 15 to 90 degrees two-theta, low angle first:
- 2θ = 16.56°, intensity 28, (1 1 0)
- 2θ = 23.61°, intensity 76, (1 2 0)
- 2θ = 24.10°, intensity 92, (1 0 2)
- 2θ = 25.70°, intensity 34, (1 0 -2)
- 2θ = 26.09°, intensity 53, (-1 1 2)
- 2θ = 31.81°, intensity 100, (0 3 2)
- 2θ = 33.04°, intensity 32, (0 2 -2)
- 2θ = 34.92°, intensity 24, (2 2 2)
- 2θ = 35.82°, intensity 28, (1 -3 0)
- 2θ = 39.50°, intensity 23, (0 1 4)

Cell and atoms:
```
data_FeCuBi2As2O12
_space_group_name_H-M_alt 'P -1'
_space_group_IT_number 2
_cell_length_a 6.2855
_cell_length_b 9.1421
_cell_length_c 9.1845
_cell_angle_alpha 72.61
_cell_angle_beta 83.89
_cell_angle_gamma 81.70
loop_
_space_group_symop_operation_xyz
'x,y,z'
'-x,-y,-z'
loop_
_atom_site_label
_atom_site_type_symbol
_atom_site_fract_x
_atom_site_fract_y
_atom_site_fract_z
Fe1 Fe 0.0000 0.0000 0.0000
Fe2 Fe 0.0000 0.0000 0.5000
Cu1 Cu 0.5000 0.0000 0.0000
Cu2 Cu 0.5000 0.0000 0.5000
Bi1 Bi 0.3156 0.6071 0.0987
Bi2 Bi 0.3176 0.6059 0.6000
As1 As 0.1895 0.2175 0.6537
As2 As 0.1895 0.2181 0.1538
O1 O 0.0235 0.8041 0.4401
O2 O 0.0230 0.8045 0.9397
O3 O 0.1330 0.3991 0.1758
O4 O 0.1352 0.3982 0.6769
O5 O 0.2112 0.0874 0.3293
O6 O 0.2106 0.0868 0.8292
O7 O 0.2546 0.9198 0.1047
O8 O 0.2546 0.9204 0.6049
O9 O 0.3838 0.5509 0.3720
O10 O 0.3855 0.5504 0.8716
O11 O 0.4360 0.1904 0.0509
O12 O 0.4361 0.1903 0.5509
```

=====

Structure and computed powder diffractogram of CoSbP2O8 (a GGA+U-relaxed structure; λ = 1.5418 Å (Cu Kα)).
Peak positions follow from Bragg's law for the DFT cell and can differ from measured ones.

Top 10 peaks for 15 to 90 degrees two-theta, low angle first:
- 2θ = 17.74°, intensity 88, (0 2 0)
- 2θ = 19.33°, intensity 29, (1 1 0)
- 2θ = 20.92°, intensity 36, (1 -1 0)
- 2θ = 23.64°, intensity 32, (1 1 2)
- 2θ = 23.96°, intensity 33, (1 1 -2)
- 2θ = 24.11°, intensity 41, (1 2 0)
- 2θ = 25.13°, intensity 60, (-1 1 2)
- 2θ = 27.71°, intensity 100, (0 0 4)
- 2θ = 33.74°, intensity 31, (1 3 2)
- 2θ = 34.18°, intensity 29, (1 3 -2)

Cell and atoms:
```
data_CoSbP2O8
_space_group_name_H-M_alt 'P 1'
_space_group_IT_number 1
_cell_length_a 4.9363
_cell_length_b 10.0523
_cell_length_c 12.8801
_cell_angle_alpha 89.18
_cell_angle_beta 89.44
_cell_angle_gamma 84.31
loop_
_space_group_symop_operation_xyz
'x,y,z'
loop_
_atom_site_label
_atom_site_type_symbol
_atom_site_fract_x
_atom_site_fract_y
_atom_site_fract_z
Co1 Co 0.0000 0.0000 0.0000
Co2 Co 0.0014 0.9964 0.5477
Co3 Co 0.8044 0.4309 0.2496
Co4 Co 0.8194 0.4387 0.7939
Sb1 Sb 0.3103 0.5170 0.0167
Sb2 Sb 0.3696 0.5075 0.5177
Sb3 Sb 0.4440 0.9223 0.2661
Sb4 Sb 0.5048 0.9181 0.7739
P1 P 0.0332 0.1216 0.7669
P2 P 0.2661 0.6231 0.2837
P3 P 0.2681 0.6250 0.7509
P4 P 0.5410 0.8094 0.5011
P5 P 0.5535 0.8069 0.0326
P6 P 0.7816 0.3143 0.0227
P7 P 0.8249 0.3218 0.5129
P8 P 0.9903 0.1067 0.2671
O1 O 0.0013 0.2553 0.2690
O2 O 0.0495 0.2710 0.7639
O3 O 0.0803 0.3448 0.0224
O4 O 0.1077 0.5467 0.2063
O5 O 0.1251 0.3567 0.5129
O6 O 0.1317 0.5405 0.8350
O7 O 0.1578 0.5831 0.3963
O8 O 0.1606 0.5722 0.6417
O9 O 0.1620 0.0359 0.1735
O10 O 0.1674 0.0339 0.3580
O11 O 0.1729 0.7744 0.7590
O12 O 0.1887 0.7785 0.2689
O13 O 0.1965 0.0466 0.8612
O14 O 0.2053 0.0475 0.6756
O15 O 0.2352 0.8375 0.5086
O16 O 0.2440 0.8320 0.0252
O17 O 0.5716 0.5975 0.2745
O18 O 0.5782 0.5994 0.7559
O19 O 0.6092 0.3889 0.1137
O20 O 0.6178 0.6539 0.5158
O21 O 0.6192 0.3888 0.9282
O22 O 0.6485 0.3909 0.6056
O23 O 0.6494 0.6576 0.0227
O24 O 0.6511 0.3972 0.4212
O25 O 0.6529 0.8491 0.3894
O26 O 0.6561 0.8568 0.1435
O27 O 0.6892 0.0732 0.2693
O28 O 0.6952 0.8843 0.5810
O29 O 0.6953 0.8936 0.9515
O30 O 0.7354 0.0893 0.7654
O31 O 0.7615 0.1650 0.0252
O32 O 0.8184 0.1729 0.5101
```

=====

Structure and computed powder diffractogram of Mn2V3SnP6O24 (a GGA+U-relaxed structure; λ = 1.5418 Å (Cu Kα)).
Peak positions follow from Bragg's law for the DFT cell and can differ from measured ones.

Top 10 peaks for 15 to 90 degrees two-theta, low angle first:
- 2θ = 20.45°, intensity 100, (1 1 0)
- 2θ = 24.00°, intensity 88, (1 1 3)
- 2θ = 29.04°, intensity 14, (0 2 4)
- 2θ = 31.77°, intensity 15, (2 1 1)
- 2θ = 32.50°, intensity 67, (2 -1 6)
- 2θ = 35.83°, intensity 41, (3 0 0)
- 2θ = 46.65°, intensity 27, (3 -2 8)
- 2θ = 49.16°, intensity 28, (4 -2 6)
- 2θ = 56.06°, intensity 26, (4 1 0)
- 2θ = 62.30°, intensity 19, (5 -1 6)

Cell and atoms:
```
data_Mn2V3SnP6O24
_space_group_name_H-M_alt 'R 3'
_space_group_IT_number 146
_space_group_name_Hall 'R 3'
_cell_length_a 8.6807
_cell_length_b 8.6807
_cell_length_c 21.3888
_cell_angle_alpha 90.00
_cell_angle_beta 90.00
_cell_angle_gamma 120.00
loop_
_atom_site_label
_atom_site_type_symbol
_atom_site_fract_x
_atom_site_fract_y
_atom_site_fract_z
Mn1 Mn 0.0000 0.0000 0.0000
Mn2 Mn 0.0000 0.0000 0.4960
V1 V 0.0000 0.0000 0.1412
V2 V 0.0000 0.0000 0.3520
V3 V 0.0000 0.0000 0.6400
Sn1 Sn 0.0000 0.0000 0.8518
P1 P 0.9995 0.2952 0.7452
P2 P 0.0026 0.7107 0.2469
O1 O 0.0000 0.8066 0.3065
O2 O 0.0019 0.8060 0.1871
O3 O 0.0030 0.1950 0.6872
O4 O 0.0171 0.1822 0.4158
O5 O 0.0212 0.8347 0.9191
O6 O 0.1325 0.4604 0.4737
O7 O 0.1678 0.4833 0.7424
O8 O 0.1681 0.6856 0.2427
```

=====

Repeat the second record exactly.
Structure and computed powder diffractogram of MgMn4Zn2O8 (a GGA+U-relaxed structure; λ = 1.5418 Å (Cu Kα)).
Peak positions follow from Bragg's law for the DFT cell and can differ from measured ones.

Top 10 peaks for 15 to 90 degrees two-theta, low angle first:
- 2θ = 17.83°, intensity 57, (0 0 1)
- 2θ = 32.52°, intensity 67, (2 2 -1)
- 2θ = 33.79°, intensity 38, (3 1 0)
- 2θ = 34.10°, intensity 100, (2 2 0)
- 2θ = 34.32°, intensity 42, (4 0 -1)
- 2θ = 40.35°, intensity 29, (2 2 -2)
- 2θ = 41.59°, intensity 28, (4 0 0)
- 2θ = 45.43°, intensity 29, (5 1 -2)
- 2θ = 45.65°, intensity 32, (4 2 -2)
- 2θ = 52.38°, intensity 33, (1 3 -2)

Cell and atoms:
```
data_MgMn4Zn2O8
_space_group_name_H-M_alt 'C 1 m 1'
_space_group_IT_number 8
_cell_length_a 10.5882
_cell_length_b 6.6135
_cell_length_c 6.0660
_cell_angle_alpha 90.00
_cell_angle_beta 124.88
_cell_angle_gamma 90.00
loop_
_space_group_symop_operation_xyz
'x,y,z'
'x,-y,z'
'x+1/2,y+1/2,z'
'x+1/2,-y+1/2,z'
loop_
_atom_site_label
_atom_site_type_symbol
_atom_site_fract_x
_atom_site_fract_y
_atom_site_fract_z
Mg1 Mg 0.0000 0.0000 0.0000
Mn1 Mn 0.1297 0.5000 0.1293
Mn2 Mn 0.1866 0.5000 0.6859
Mn3 Mn 0.2481 0.0000 0.5075
Mn4 Mn 0.2487 0.0000 0.9890
Zn1 Zn 0.4410 0.2798 0.4414
O1 O 0.1927 0.1858 0.1927
O2 O 0.1973 0.1905 0.6974
O3 O 0.3810 0.5000 0.6136
O4 O 0.3819 0.5000 0.1505
O5 O 0.4854 0.0000 0.7060
O6 O 0.4856 0.0000 0.2646
```